# 1
Diffraction record for Li3V2NiO6. The X-ray powder pattern is theoretical, not measured: it uses a cell relaxed with PBE+U and Cu Kα, 1.54184 Å.
Intensities are scaled so that the largest is 100.

Cell and atoms:
```
Li3V2NiO6
1.0
6.3846 -1.4919 0.0000
6.3846 1.4919 0.0000
-1.4405 0.0000 5.7634
Li V Ni O
3 2 1 6
direct
0.0000 0.0000 0.0000 Li
0.3376 0.3376 0.6601 Li
0.6624 0.6624 0.3399 Li
0.3351 0.3351 0.1684 V
0.6649 0.6649 0.8316 V
0.0000 0.0000 0.5000 Ni
0.1683 0.1683 0.6053 O
0.1723 0.1723 0.0705 O
0.4896 0.4896 0.2491 O
0.5104 0.5104 0.7509 O
0.8277 0.8277 0.9295 O
0.8317 0.8317 0.3947 O
```

Principal peaks in the range 15° ≤ 2θ ≤ 90°, by angle:
2θ (°)  d [Å]  I_rel
18.31  4.846  100
35.42  2.534  29
36.10  2.488  13
37.15  2.420  12
42.97  2.105  57
43.85  2.065  26
47.34  1.920  14
56.81  1.621  9
62.81  1.479  15
63.32  1.469  15

# 2
Diffraction record for Li4VNi3O8. The X-ray powder pattern is theoretical, not measured: it uses a cell relaxed with PBE+U and Cu Kα, 1.54184 Å.
Intensities are scaled so that the largest is 100.

Cell and atoms:
```
Li4VNi3O8
1.0
5.8736 0.0000 0.0000
-2.9327 5.0949 0.0000
-2.9366 -1.7006 4.8023
Li V Ni O
4 1 3 8
direct
0.0000 0.0000 0.0000 Li
0.0052 0.5021 0.0021 Li
0.5004 0.0022 0.0076 Li
0.5086 0.5032 0.0076 Li
0.5004 0.4963 0.5028 V
0.0041 0.9977 0.5039 Ni
0.0046 0.4999 0.5055 Ni
0.5050 0.0006 0.5034 Ni
0.0254 0.7610 0.2872 O
0.0400 0.2670 0.2736 O
0.5045 0.7314 0.2731 O
0.5037 0.7310 0.7340 O
0.5050 0.2672 0.7355 O
0.5055 0.2690 0.2729 O
0.9696 0.7324 0.7354 O
0.9837 0.2369 0.7209 O
```

Principal peaks in the range 15° ≤ 2θ ≤ 90°, by angle:
2θ (°)  d [Å]  I_rel
18.48  4.802  100
35.82  2.507  45
37.47  2.400  21
43.54  2.079  77
47.67  1.908  16
57.59  1.600  17
63.25  1.470  35
66.51  1.406  10
75.88  1.254  8
79.92  1.200  9

# 3
Diffraction record for Li7V6Ni5O24. The X-ray powder pattern is theoretical, not measured: it uses a cell relaxed with PBE+U and Cu Kα, 1.54184 Å.
Intensities are scaled so that the largest is 100.

Cell and atoms:
```
Li7V6Ni5O24
1.0
5.8346 0.0000 0.0000
0.0266 5.8976 0.0000
2.8805 2.8261 12.4125
Li V Ni O
7 6 5 24
direct
0.0000 0.0000 0.0000 Li
0.1623 0.1661 0.1680 Li
0.1658 0.6694 0.6684 Li
0.3334 0.3306 0.3322 Li
0.6666 0.6694 0.6678 Li
0.8342 0.3306 0.3316 Li
0.8377 0.8339 0.8320 Li
0.0419 0.7911 0.4163 V
0.2941 0.5381 0.9175 V
0.3760 0.1283 0.7484 V
0.6240 0.8717 0.2516 V
0.7059 0.4619 0.0825 V
0.9581 0.2089 0.5837 V
0.1629 0.6653 0.1678 Ni
0.5000 0.0000 0.0000 Ni
0.5000 0.0000 0.5000 Ni
0.5000 0.5000 0.5000 Ni
0.8371 0.3347 0.8322 Ni
0.0807 0.0656 0.3399 O
0.0841 0.5934 0.3333 O
0.0871 0.5762 0.8375 O
0.0917 0.0912 0.8287 O
0.2513 0.2500 0.5018 O
0.2542 0.7469 0.0009 O
0.2553 0.7503 0.4985 O
0.2592 0.2567 0.9963 O
0.4171 0.9270 0.6660 O
0.4177 0.4054 0.6655 O
0.4190 0.9123 0.1662 O
0.4238 0.4241 0.1644 O
0.5762 0.5759 0.8356 O
0.5810 0.0877 0.8338 O
0.5823 0.5946 0.3345 O
0.5829 0.0730 0.3340 O
0.7408 0.7433 0.0037 O
0.7447 0.2497 0.5015 O
0.7458 0.2531 0.9991 O
0.7487 0.7500 0.4982 O
0.9083 0.9088 0.1713 O
0.9129 0.4238 0.1625 O
0.9159 0.4066 0.6667 O
0.9193 0.9344 0.6601 O
```

Principal peaks in the range 15° ≤ 2θ ≤ 90°, by angle:
2θ (°)  d [Å]  I_rel
18.39  4.825  45
30.64  2.918  100
35.63  2.520  32
35.83  2.506  77
35.95  2.498  66
36.07  2.490  52
43.75  2.069  23
57.87  1.594  25
63.07  1.474  37
63.78  1.459  52

# 4
Diffraction record for Li2VNiO4. The X-ray powder pattern is theoretical, not measured: it uses a cell relaxed with PBE+U and Cu Kα, 1.54184 Å.
Intensities are scaled so that the largest is 100.

Cell and atoms:
```
Li2VNiO4
1.0
5.1373 0.0000 0.0000
-0.0158 5.8852 0.0000
-1.7071 -2.9413 4.8559
Li V Ni O
4 2 2 8
direct
0.0000 0.2413 0.0000 Li
0.0000 0.7587 0.0000 Li
0.0043 0.2485 0.4972 Li
0.9957 0.7515 0.5028 Li
0.5000 0.0000 0.5000 V
0.5000 0.5000 0.5000 V
0.5000 0.0000 0.0000 Ni
0.5000 0.5000 0.0000 Ni
0.2692 0.1343 0.2685 O
0.2725 0.6188 0.7411 O
0.2730 0.1225 0.7411 O
0.2769 0.6410 0.2823 O
0.7231 0.3590 0.7177 O
0.7270 0.8775 0.2589 O
0.7275 0.3812 0.2589 O
0.7308 0.8657 0.7315 O
```

Principal peaks in the range 15° ≤ 2θ ≤ 90°, by angle:
2θ (°)  d [Å]  I_rel
18.31  4.844  100
35.41  2.535  15
35.68  2.517  29
37.07  2.425  9
37.31  2.410  9
43.08  2.100  27
43.28  2.090  53
57.06  1.614  11
62.58  1.484  14
62.70  1.482  14